[1]
For La2HoErTm, the PBE geometry in Alexandria gives the calculated XRD peak list in this record (Cu Ka).

Crystal structure
Lattice parameters (Å, degrees): 7.147 7.147 7.356 90.00 90.00 107.65
Fractional positions:
La 0.195 0.195 0.000
La 0.195 0.195 0.500
La 0.805 0.805 0.000
La 0.805 0.805 0.500
Ho 0.222 0.778 0.750
Ho 0.778 0.222 0.250
Er 0.487 0.513 0.750
Er 0.513 0.487 0.250
Tm 0.239 0.761 0.250
Tm 0.761 0.239 0.750

Largest 10 diffraction maxima, by angle, 10° ≤ 2θ ≤ 90°:
- 4.218 Å, 21.06 deg, I = 232
- 3.405 Å, 26.17 deg, I = 464
- 3.236 Å, 27.56 deg, I = 282
- 3.101 Å, 28.79 deg, I = 498
- 2.885 Å, 31.00 deg, I = 568
- 2.772 Å, 32.29 deg, I = 1000
- 2.732 Å, 32.78 deg, I = 247
- 2.535 Å, 35.40 deg, I = 428
- 2.270 Å, 39.71 deg, I = 361
- 1.999 Å, 45.37 deg, I = 666

---

[2]
For LiHoEr, the PBE geometry in Alexandria gives the calculated XRD peak list in this record (Cu Ka).

Crystal structure
Lattice parameters (Å, degrees): 6.756 6.756 6.756 149.09 149.09 44.29
Fractional positions:
Li 0.000 0.000 0.000
Ho 0.344 0.344 0.000
Er 0.654 0.654 0.000

Largest 10 diffraction maxima, by angle, 10° ≤ 2θ ≤ 90°:
- 6.257 Å, 14.15 deg, I = 233
- 3.461 Å, 25.74 deg, I = 567
- 3.129 Å, 28.53 deg, I = 187
- 2.726 Å, 32.86 deg, I = 1000
- 2.546 Å, 35.25 deg, I = 435
- 1.975 Å, 45.95 deg, I = 206
- 1.801 Å, 50.70 deg, I = 156
- 1.614 Å, 57.08 deg, I = 180
- 1.601 Å, 57.56 deg, I = 148
- 1.502 Å, 61.75 deg, I = 330

---

[3]
For LiHoEr4S8, the PBE geometry in Alexandria gives the calculated XRD peak list in this record (Cu Ka).

Crystal structure
Lattice parameters (Å, degrees): 7.951 7.951 7.951 59.92 59.92 59.92
Fractional positions:
Li 0.000 0.000 0.000
Ho 0.630 0.630 0.630
Er 0.111 0.630 0.630
Er 0.250 0.250 0.250
Er 0.630 0.111 0.630
Er 0.630 0.630 0.111
S 0.383 0.383 0.850
S 0.383 0.850 0.383
S 0.384 0.384 0.384
S 0.395 0.869 0.869
S 0.850 0.383 0.383
S 0.868 0.868 0.868
S 0.869 0.395 0.869
S 0.869 0.869 0.395

Largest 10 diffraction maxima, by angle, 10° ≤ 2θ ≤ 90°:
- 6.488 Å, 13.65 deg, I = 447
- 5.618 Å, 15.77 deg, I = 155
- 3.388 Å, 26.30 deg, I = 1000
- 3.244 Å, 27.50 deg, I = 250
- 2.809 Å, 31.86 deg, I = 418
- 2.578 Å, 34.80 deg, I = 135
- 2.163 Å, 41.77 deg, I = 469
- 1.986 Å, 45.67 deg, I = 626
- 1.714 Å, 53.47 deg, I = 140
- 1.146 Å, 84.51 deg, I = 150

---

[4]
For LiHoErSi, the PBE geometry in Alexandria gives the calculated XRD peak list in this record (Cu Ka).

Crystal structure
Lattice parameters (Å, degrees): 4.927 4.927 4.927 60.00 60.00 60.00
Fractional positions:
Li 0.000 0.000 0.000
Ho 0.750 0.750 0.750
Er 0.250 0.250 0.250
Si 0.500 0.500 0.500

Largest 10 diffraction maxima, by angle, 10° ≤ 2θ ≤ 90°:
- 4.023 Å, 22.10 deg, I = 12
- 3.484 Å, 25.57 deg, I = 824
- 2.464 Å, 36.47 deg, I = 1000
- 2.011 Å, 45.07 deg, I = 246
- 1.742 Å, 52.53 deg, I = 176
- 1.558 Å, 59.31 deg, I = 328
- 1.422 Å, 65.64 deg, I = 361
- 1.232 Å, 77.49 deg, I = 113
- 1.161 Å, 83.19 deg, I = 159
- 1.102 Å, 88.81 deg, I = 166